No. 1
Starting from the PBE geometry in the Materials Project, the powder diffractogram of Zr20Sn13 was calculated for a wavelength of 1.5418 Å.

Top 10 peaks for 2θ from 10° to 80°, low angle first:
2theta  d/Å  I_rel
30.23  2.956  22
31.73  2.820  15
35.26  2.546  97
36.11  2.487  77
36.88  2.437  100
46.49  1.953  26
52.57  1.741  22
57.01  1.615  23
65.41  1.427  15
74.69  1.271  13

Crystal structure
```
data_Zr20Sn13
_symmetry_space_group_name_H-M 'P 1 2/m 1'
_symmetry_Int_Tables_number 10
_cell_length_a 5.912
_cell_length_b 14.940
_cell_length_c 8.607
_cell_angle_alpha 90.00
_cell_angle_beta 90.02
_cell_angle_gamma 90.00
loop_
_symmetry_equiv_pos_as_xyz
'x,y,z'
'-x,-y,-z'
'-x,y,-z'
'x,-y,z'
loop_
_atom_site_label
_atom_site_type_symbol
_atom_site_fract_x
_atom_site_fract_y
_atom_site_fract_z
_atom_site_occupancy
Zr1 Zr 0.000 0.166 0.000 1
Zr2 Zr 0.000 0.333 0.500 1
Zr3 Zr 0.230 0.500 0.731 1
Zr4 Zr 0.231 0.363 0.135 1
Zr5 Zr 0.247 0.000 0.250 1
Zr6 Zr 0.249 0.122 0.626 1
Zr7 Zr 0.500 0.166 0.000 1
Zr8 Zr 0.500 0.333 0.500 1
Sn1 Sn 0.250 0.192 0.309 1
Sn2 Sn 0.252 0.000 0.892 1
Sn3 Sn 0.258 0.500 0.385 1
Sn4 Sn 0.259 0.302 0.803 1
Sn5 Sn 0.500 0.500 0.000 1
```

=====

No. 2
Starting from the PBE geometry in the Materials Project, the powder diffractogram of Te2S4N3Cl9 was calculated for a wavelength of 1.5418 Å.

Top 10 peaks for 2θ from 10° to 80°, low angle first:
2theta  d/Å  I_rel
10.15  8.714  100
11.87  7.456  56
16.25  5.454  93
16.43  5.396  59
17.86  4.966  45
18.44  4.811  79
18.50  4.796  52
20.37  4.359  40
24.00  3.708  41
40.42  2.231  37

Crystal structure
```
data_Te2S4N3Cl9
_symmetry_space_group_name_H-M 'P -1'
_symmetry_Int_Tables_number 2
_cell_length_a 9.514
_cell_length_b 10.261
_cell_length_c 11.508
_cell_angle_alpha 83.09
_cell_angle_beta 69.94
_cell_angle_gamma 75.64
loop_
_symmetry_equiv_pos_as_xyz
'x,y,z'
'-x,-y,-z'
loop_
_atom_site_label
_atom_site_type_symbol
_atom_site_fract_x
_atom_site_fract_y
_atom_site_fract_z
_atom_site_occupancy
Te1 Te 0.018 0.203 0.426 1
Te2 Te 0.129 0.661 0.944 1
S1 S 0.356 0.032 0.690 1
S2 S 0.436 0.004 0.844 1
S3 S 0.444 0.294 0.593 1
S4 S 0.450 0.742 0.189 1
N1 N 0.382 0.163 0.612 1
N2 N 0.486 0.678 0.309 1
N3 N 0.494 0.879 0.138 1
Cl1 Cl 0.027 0.742 0.365 1
Cl2 Cl 0.065 0.154 0.176 1
Cl3 Cl 0.112 0.853 0.047 1
Cl4 Cl 0.120 0.373 0.880 1
Cl5 Cl 0.168 0.595 0.597 1
Cl6 Cl 0.215 0.963 0.462 1
Cl7 Cl 0.234 0.304 0.346 1
Cl8 Cl 0.279 0.517 0.059 1
Cl9 Cl 0.372 0.704 0.783 1
```

=====

No. 3
Starting from the PBE geometry in the Materials Project, the powder diffractogram of KTe was calculated for a wavelength of 1.5418 Å.

Top 10 peaks for 2θ from 10° to 80°, low angle first:
2theta  d/Å  I_rel
18.33  4.839  100
22.91  3.883  16
32.03  2.794  64
33.19  2.699  78
37.16  2.420  17
46.80  1.941  29
49.86  1.829  15
57.09  1.613  13
57.84  1.594  30
76.83  1.241  13

Crystal structure
```
data_KTe
_symmetry_space_group_name_H-M 'P -6 2 m'
_symmetry_Int_Tables_number 189
_symmetry_space_group_name_Hall 'P -6 -2'
_cell_length_a 9.6785
_cell_length_b 9.6785
_cell_length_c 6.5046
_cell_angle_alpha 90.00
_cell_angle_beta 90.00
_cell_angle_gamma 120.00
loop_
_atom_site_label
_atom_site_type_symbol
_atom_site_fract_x
_atom_site_fract_y
_atom_site_fract_z
_atom_site_occupancy
K1 K 0.0000 0.3217 0.0000 1
K2 K 0.0000 0.6553 0.5000 1
Te1 Te 0.0000 0.0000 0.2825 1
Te2 Te 0.3333 0.6667 0.2185 1
```

=====

No. 4
Starting from the PBE geometry in the Materials Project, the powder diffractogram of NbCr3Cu2S8 was calculated for a wavelength of 1.5418 Å.

Top 10 peaks for 2θ from 10° to 80°, low angle first:
2theta  d/Å  I_rel
21.46  4.140  42
28.06  3.180  87
28.74  3.106  42
31.00  2.885  73
34.07  2.631  100
35.04  2.561  58
41.98  2.152  77
42.13  2.145  56
51.67  1.769  43
53.80  1.704  50

Crystal structure
```
data_NbCr3Cu2S8
_symmetry_space_group_name_H-M 'P m c 21'
_symmetry_Int_Tables_number 26
_cell_length_a 3.408
_cell_length_b 12.426
_cell_length_c 11.103
_cell_angle_alpha 90.00
_cell_angle_beta 90.00
_cell_angle_gamma 90.00
loop_
_symmetry_equiv_pos_as_xyz
'x,y,z'
'-x,-y,z+1/2'
'-x,y,z'
'x,-y,z+1/2'
loop_
_atom_site_label
_atom_site_type_symbol
_atom_site_fract_x
_atom_site_fract_y
_atom_site_fract_z
_atom_site_occupancy
Nb1 Nb 0.000 0.177 0.000 1
Cr1 Cr 0.000 0.370 0.522 1
Cr2 Cr 0.500 0.135 0.641 1
Cr3 Cr 0.500 0.334 0.165 1
Cu1 Cu 0.000 0.425 0.805 1
Cu2 Cu 0.500 0.092 0.363 1
S1 S 0.000 0.089 0.781 1
S2 S 0.000 0.182 0.492 1
S3 S 0.000 0.200 0.214 1
S4 S 0.000 0.461 0.140 1
S5 S 0.500 0.034 0.024 1
S6 S 0.500 0.316 0.953 1
S7 S 0.500 0.322 0.673 1
S8 S 0.500 0.408 0.379 1
```

=====

No. 5
Starting from the PBE geometry in the Materials Project, the powder diffractogram of BaCuBi was calculated for a wavelength of 1.5418 Å.

Top 10 peaks for 2θ from 10° to 80°, low angle first:
2theta  d/Å  I_rel
18.40  4.822  13
23.45  3.794  30
28.47  3.135  100
35.40  2.536  11
37.30  2.411  19
37.76  2.382  54
47.96  1.897  24
54.12  1.695  38
61.96  1.498  11
62.60  1.484  22

Crystal structure
```
data_BaCuBi
_symmetry_space_group_name_H-M 'P 63/m m c'
_symmetry_Int_Tables_number 194
_symmetry_space_group_name_Hall '-P 6c 2c'
_cell_length_a 4.7648
_cell_length_b 4.7648
_cell_length_c 9.6438
_cell_angle_alpha 90.00
_cell_angle_beta 90.00
_cell_angle_gamma 120.00
loop_
_atom_site_label
_atom_site_type_symbol
_atom_site_fract_x
_atom_site_fract_y
_atom_site_fract_z
_atom_site_occupancy
Ba1 Ba 0.0000 0.0000 0.0000 1
Cu1 Cu 0.3333 0.6667 0.2500 1
Bi1 Bi 0.3333 0.6667 0.7500 1
```